Record 1
For ZnCoO3, a crystal structure in the Materials Project, relaxed with PBE+U gives the computed powder diffraction line list in this record (CuKα).
No peak broadening, texture or thermal motion is included.

Structure:
abc: 6.421 6.421 5.091
angles: 95.23 95.23 83.87
Atoms (fractional coordinates):
Zn (0.088, 0.281, 0.301)
Zn (0.281, 0.088, 0.801)
Zn (0.719, 0.912, 0.199)
Zn (0.912, 0.719, 0.699)
Co (0.246, 0.754, 0.250)
Co (0.411, 0.589, 0.750)
Co (0.589, 0.411, 0.250)
Co (0.754, 0.246, 0.750)
O (0.020, 0.235, 0.652)
O (0.167, 0.630, 0.908)
O (0.235, 0.020, 0.152)
O (0.316, 0.481, 0.392)
O (0.370, 0.833, 0.592)
O (0.481, 0.316, 0.892)
O (0.519, 0.684, 0.108)
O (0.630, 0.167, 0.408)
O (0.684, 0.519, 0.608)
O (0.765, 0.980, 0.848)
O (0.833, 0.370, 0.092)
O (0.980, 0.765, 0.348)

Peak list (8 most intense, 10 to 80 degrees two-theta, in order of falling intensity)
2θ/deg, I (rel.)
36.78, 100
30.13, 98
34.53, 71
35.54, 56
63.85, 38
63.44, 36
59.47, 33
31.99, 32

---

Record 2
For KSrPrWO6, a crystal structure in the Materials Project, relaxed with PBE+U gives the computed powder diffraction line list in this record (CuKα).
No peak broadening, texture or thermal motion is included.

Structure:
abc: 8.527 8.527 8.545
angles: 90.00 90.00 90.00
Atoms (fractional coordinates):
K (0.250, 0.250, 0.250)
K (0.250, 0.750, 0.250)
K (0.750, 0.250, 0.750)
K (0.750, 0.750, 0.750)
Sr (0.250, 0.250, 0.750)
Sr (0.250, 0.750, 0.750)
Sr (0.750, 0.250, 0.250)
Sr (0.750, 0.750, 0.250)
Pr (0.000, 0.000, 0.000)
Pr (0.000, 0.500, 0.500)
Pr (0.500, 0.000, 0.500)
Pr (0.500, 0.500, 0.000)
W (0.000, 0.000, 0.500)
W (0.000, 0.500, 0.000)
W (0.500, 0.000, 0.000)
W (0.500, 0.500, 0.500)
O (0.025, 0.226, 0.470)
O (0.025, 0.274, 0.030)
O (0.041, 0.027, 0.727)
O (0.041, 0.473, 0.773)
O (0.225, 0.532, 0.020)
O (0.225, 0.968, 0.480)
O (0.275, 0.532, 0.480)
O (0.275, 0.968, 0.020)
O (0.459, 0.027, 0.773)
O (0.459, 0.473, 0.727)
O (0.475, 0.226, 0.030)
O (0.475, 0.274, 0.470)
O (0.525, 0.726, 0.530)
O (0.525, 0.774, 0.970)
O (0.541, 0.527, 0.273)
O (0.541, 0.973, 0.227)
O (0.725, 0.032, 0.980)
O (0.725, 0.468, 0.520)
O (0.775, 0.032, 0.520)
O (0.775, 0.468, 0.980)
O (0.959, 0.527, 0.227)
O (0.959, 0.973, 0.273)
O (0.975, 0.726, 0.970)
O (0.975, 0.774, 0.530)

Peak list (8 most intense, 10 to 80 degrees two-theta, in order of falling intensity)
2θ/deg, I (rel.)
29.61, 100
52.54, 43
20.82, 34
42.37, 29
61.47, 17
47.66, 15
69.75, 12
69.60, 6

---

Record 3
For CoPO4, a crystal structure in the Materials Project, relaxed with PBE+U gives the computed powder diffraction line list in this record (CuKα).
No peak broadening, texture or thermal motion is included.

Structure:
abc: 4.702 4.702 6.411
angles: 90.00 90.00 111.45
Atoms (fractional coordinates):
Co (0.000, 0.000, 0.000)
Co (0.000, 0.000, 0.500)
P (0.349, 0.651, 0.750)
P (0.651, 0.349, 0.250)
O (0.220, 0.295, 0.750)
O (0.237, 0.763, 0.551)
O (0.237, 0.763, 0.949)
O (0.295, 0.220, 0.250)
O (0.705, 0.780, 0.750)
O (0.763, 0.237, 0.051)
O (0.763, 0.237, 0.449)
O (0.780, 0.705, 0.250)

Peak list (8 most intense, 10 to 80 degrees two-theta, in order of falling intensity)
2θ/deg, I (rel.)
34.69, 100
20.29, 57
24.63, 50
38.70, 35
33.85, 33
66.43, 28
26.83, 28
44.37, 27

---

Record 4
For Fe4O3F5, a crystal structure in the Materials Project, relaxed with PBE+U gives the computed powder diffraction line list in this record (CuKα).
No peak broadening, texture or thermal motion is included.

Structure:
abc: 4.823 6.201 9.634
angles: 89.65 87.54 89.79
Atoms (fractional coordinates):
Fe (0.000, 0.000, 0.000)
Fe (0.003, 0.521, 0.003)
Fe (0.028, 0.010, 0.492)
Fe (0.059, 0.511, 0.509)
Fe (0.473, 0.748, 0.757)
Fe (0.512, 0.758, 0.251)
Fe (0.538, 0.265, 0.728)
Fe (0.551, 0.261, 0.232)
O (0.203, 0.761, 0.905)
O (0.215, 0.762, 0.398)
O (0.331, 0.520, 0.649)
O (0.806, 0.760, 0.102)
O (0.847, 0.260, 0.080)
O (0.859, 0.256, 0.577)
F (0.225, 0.254, 0.896)
F (0.236, 0.259, 0.389)
F (0.319, 0.518, 0.148)
F (0.320, 0.002, 0.150)
F (0.323, 0.994, 0.643)
F (0.709, 0.996, 0.837)
F (0.719, 0.000, 0.348)
F (0.719, 0.520, 0.347)
F (0.723, 0.524, 0.845)
F (0.820, 0.764, 0.598)

Peak list (8 most intense, 10 to 80 degrees two-theta, in order of falling intensity)
2θ/deg, I (rel.)
25.60, 100
26.74, 96
34.48, 50
52.28, 39
51.20, 32
50.87, 31
34.31, 26
34.35, 25

---

What did the second record say?
For KSrPrWO6, a crystal structure in the Materials Project, relaxed with PBE+U gives the computed powder diffraction line list in this record (CuKα).
No peak broadening, texture or thermal motion is included.

Structure:
abc: 8.527 8.527 8.545
angles: 90.00 90.00 90.00
Atoms (fractional coordinates):
K (0.250, 0.250, 0.250)
K (0.250, 0.750, 0.250)
K (0.750, 0.250, 0.750)
K (0.750, 0.750, 0.750)
Sr (0.250, 0.250, 0.750)
Sr (0.250, 0.750, 0.750)
Sr (0.750, 0.250, 0.250)
Sr (0.750, 0.750, 0.250)
Pr (0.000, 0.000, 0.000)
Pr (0.000, 0.500, 0.500)
Pr (0.500, 0.000, 0.500)
Pr (0.500, 0.500, 0.000)
W (0.000, 0.000, 0.500)
W (0.000, 0.500, 0.000)
W (0.500, 0.000, 0.000)
W (0.500, 0.500, 0.500)
O (0.025, 0.226, 0.470)
O (0.025, 0.274, 0.030)
O (0.041, 0.027, 0.727)
O (0.041, 0.473, 0.773)
O (0.225, 0.532, 0.020)
O (0.225, 0.968, 0.480)
O (0.275, 0.532, 0.480)
O (0.275, 0.968, 0.020)
O (0.459, 0.027, 0.773)
O (0.459, 0.473, 0.727)
O (0.475, 0.226, 0.030)
O (0.475, 0.274, 0.470)
O (0.525, 0.726, 0.530)
O (0.525, 0.774, 0.970)
O (0.541, 0.527, 0.273)
O (0.541, 0.973, 0.227)
O (0.725, 0.032, 0.980)
O (0.725, 0.468, 0.520)
O (0.775, 0.032, 0.520)
O (0.775, 0.468, 0.980)
O (0.959, 0.527, 0.227)
O (0.959, 0.973, 0.273)
O (0.975, 0.726, 0.970)
O (0.975, 0.774, 0.530)

Peak list (8 most intense, 10 to 80 degrees two-theta, in order of falling intensity)
2θ/deg, I (rel.)
29.61, 100
52.54, 43
20.82, 34
42.37, 29
61.47, 17
47.66, 15
69.75, 12
69.60, 6